Computed powder diffraction line list
Compound: Na2Sm2PbO6
Radiation: a wavelength of 1.5418 Å
Structure: a crystal structure in Alexandria, relaxed with PBE

Main lines, sorted by position (15° ≤ 2θ ≤ 90°):
15.55 deg, d = 5.698 Å, I = 100
29.69 deg, d = 3.009 Å, I = 35
30.43 deg, d = 2.938 Å, I = 18
30.85 deg, d = 2.898 Å, I = 17
31.40 deg, d = 2.849 Å, I = 17
31.54 deg, d = 2.837 Å, I = 32
35.72 deg, d = 2.514 Å, I = 46
37.55 deg, d = 2.395 Å, I = 21

Structural model:
a b c (Å): 6.0393 10.5603 5.9364
angles (deg): 90.00 106.30 90.00
Space group C2/m (No. 12)
Unique sites:
Na  0.0000  0.1545  0.0000 (multiplicity 4)
Sm  0.0000  0.3351  0.5000 (multiplicity 4)
Pb  0.0000  0.0000  0.5000 (multiplicity 2)
O  0.2112  0.1669  0.7026 (multiplicity 8)
O  0.2448  0.0000  0.2936 (multiplicity 4)

---

Computed powder diffraction line list
Compound: AcLaTlHg
Radiation: a wavelength of 1.5418 Å
Structure: a crystal structure in Alexandria, relaxed with PBE

Main lines, sorted by position (15° ≤ 2θ ≤ 90°):
31.40 deg, d = 2.849 Å, I = 100
31.63 deg, d = 2.829 Å, I = 50
44.67 deg, d = 2.029 Å, I = 9
45.34 deg, d = 2.000 Å, I = 19
55.76 deg, d = 1.649 Å, I = 19
56.19 deg, d = 1.637 Å, I = 39
65.54 deg, d = 1.424 Å, I = 12
75.09 deg, d = 1.265 Å, I = 9

Structural model:
a b c (Å): 4.0005 4.0005 8.1144
angles (deg): 90.00 90.00 90.00
Space group P4mm (No. 99)
Unique sites:
Ac  0.0000  0.0000  0.0000 (multiplicity 1)
La  0.0000  0.0000  0.5143 (multiplicity 1)
Tl  0.5000  0.5000  0.2708 (multiplicity 1)
Hg  0.5000  0.5000  0.7428 (multiplicity 1)

---

Computed powder diffraction line list
Compound: Ca3Sm3Au4
Radiation: a wavelength of 1.5418 Å
Structure: a crystal structure in Alexandria, relaxed with PBE

Main lines, sorted by position (15° ≤ 2θ ≤ 90°):
15.01 deg, d = 5.900 Å, I = 39
32.87 deg, d = 2.724 Å, I = 86
33.12 deg, d = 2.705 Å, I = 100
34.09 deg, d = 2.630 Å, I = 29
34.44 deg, d = 2.604 Å, I = 27
43.76 deg, d = 2.069 Å, I = 24
45.41 deg, d = 1.997 Å, I = 19
64.67 deg, d = 1.441 Å, I = 20

Structural model:
a b c (Å): 3.9944 11.6076 11.8009
angles (deg): 90.00 90.00 90.00
Space group Amm2 (No. 38)
Unique sites:
Ca  0.0000  0.0000  0.0000 (multiplicity 2)
Ca  0.5000  0.2487  0.9103 (multiplicity 4)
Sm  0.0000  0.0000  0.3119 (multiplicity 2)
Sm  0.0000  0.1567  0.6597 (multiplicity 4)
Au  0.5000  0.0000  0.5202 (multiplicity 2)
Au  0.5000  0.0000  0.7911 (multiplicity 2)
Au  0.5000  0.1402  0.1625 (multiplicity 4)

---

Computed powder diffraction line list
Compound: YZrOs
Radiation: a wavelength of 1.5418 Å
Structure: a crystal structure in Alexandria, relaxed with PBE

Main lines, sorted by position (15° ≤ 2θ ≤ 90°):
17.85 deg, d = 4.968 Å, I = 49
19.93 deg, d = 4.455 Å, I = 36
32.33 deg, d = 2.769 Å, I = 31
34.43 deg, d = 2.605 Å, I = 37
35.60 deg, d = 2.522 Å, I = 35
40.10 deg, d = 2.249 Å, I = 100
41.63 deg, d = 2.170 Å, I = 32
63.89 deg, d = 1.457 Å, I = 28

Structural model:
a b c (Å): 6.1185 8.9103 9.9368
angles (deg): 90.00 90.00 90.00
Space group Fmmm (No. 69)
Unique sites:
Y  0.0000  0.1825  0.0000 (multiplicity 8)
Zr  0.0000  0.0000  0.3175 (multiplicity 8)
Os  0.2500  0.2500  0.2500 (multiplicity 8)

---

Computed powder diffraction line list
Compound: NdErCd5
Radiation: a wavelength of 1.5418 Å
Structure: a crystal structure in Alexandria, relaxed with PBE

Main lines, sorted by position (15° ≤ 2θ ≤ 90°):
21.42 deg, d = 4.148 Å, I = 18
34.50 deg, d = 2.600 Å, I = 58
35.75 deg, d = 2.512 Å, I = 100
49.59 deg, d = 1.838 Å, I = 20
53.27 deg, d = 1.720 Å, I = 10
62.62 deg, d = 1.484 Å, I = 38
65.02 deg, d = 1.434 Å, I = 16
75.73 deg, d = 1.256 Å, I = 9

Structural model:
a b c (Å): 5.1998 5.1998 6.8791
angles (deg): 90.00 90.00 90.00
Space group P4/mmm (No. 123)
Unique sites:
Nd  0.0000  0.0000  0.0000 (multiplicity 1)
Er  0.5000  0.5000  0.5000 (multiplicity 1)
Cd  0.0000  0.5000  0.2736 (multiplicity 4)
Cd  0.5000  0.5000  0.0000 (multiplicity 1)

---

Computed powder diffraction line list
Compound: PrMg4Ga2
Radiation: a wavelength of 1.5418 Å
Structure: a crystal structure in Alexandria, relaxed with PBE

Main lines, sorted by position (15° ≤ 2θ ≤ 90°):
29.09 deg, d = 3.069 Å, I = 100
29.92 deg, d = 2.987 Å, I = 34
33.09 deg, d = 2.707 Å, I = 98
34.20 deg, d = 2.622 Å, I = 39
39.04 deg, d = 2.307 Å, I = 35
40.69 deg, d = 2.218 Å, I = 30
40.97 deg, d = 2.203 Å, I = 29
44.02 deg, d = 2.057 Å, I = 26

Structural model:
a b c (Å): 4.4352 16.2516 4.4055
angles (deg): 90.00 90.00 90.00
Space group Cmmm (No. 65)
Unique sites:
Pr  0.0000  0.0000  0.0000 (multiplicity 2)
Mg  0.0000  0.1773  0.5000 (multiplicity 4)
Mg  0.0000  0.3204  0.0000 (multiplicity 4)
Ga  0.0000  0.4239  0.5000 (multiplicity 4)

---

Computed powder diffraction line list
Compound: CeNpTl
Radiation: a wavelength of 1.5418 Å
Structure: a crystal structure in Alexandria, relaxed with PBE

Main lines, sorted by position (15° ≤ 2θ ≤ 90°):
16.27 deg, d = 5.448 Å, I = 27
27.91 deg, d = 3.197 Å, I = 45
32.42 deg, d = 2.762 Å, I = 100
34.42 deg, d = 2.605 Å, I = 28
37.99 deg, d = 2.368 Å, I = 54
38.51 deg, d = 2.338 Å, I = 23
43.42 deg, d = 2.084 Å, I = 27
63.94 deg, d = 1.456 Å, I = 27

Structural model:
a b c (Å): 5.4486 3.5264 7.8172
angles (deg): 90.00 90.80 90.00
Space group P2_1/m (No. 11)
Unique sites:
Ce  0.1354  0.2500  0.2571 (multiplicity 2)
Np  0.3431  0.7500  0.4959 (multiplicity 2)
Tl  0.3516  0.2500  0.8594 (multiplicity 2)

---

Computed powder diffraction line list
Compound: Ca2Cd6In
Radiation: a wavelength of 1.5418 Å
Structure: a crystal structure in Alexandria, relaxed with PBE

Main lines, sorted by position (15° ≤ 2θ ≤ 90°):
26.35 deg, d = 3.382 Å, I = 21
33.34 deg, d = 2.688 Å, I = 86
35.11 deg, d = 2.556 Å, I = 100
44.42 deg, d = 2.039 Å, I = 31
49.19 deg, d = 1.852 Å, I = 28
61.86 deg, d = 1.500 Å, I = 27
62.98 deg, d = 1.476 Å, I = 17
66.27 deg, d = 1.410 Å, I = 29

Structural model:
a b c (Å): 8.8549 8.8549 10.1469
angles (deg): 90.00 90.00 120.00
Space group R-3m (No. 166, hexagonal axes)
Unique sites:
Ca  0.0000  0.0000  0.1755 (multiplicity 6)
Cd  0.0000  0.3329  0.0000 (multiplicity 18)
In  0.0000  0.0000  0.5000 (multiplicity 3)